(1)
This entry pairs a crystal structure of CsK2Bi6 with its calculated PXRD pattern. Radiation: Cu Kα, 1.54184 Å. Structure: a PBE-relaxed structure.
Lines closer than 0.1° are merged.

Atomic structure:
```
9
Lattice="-2.334 5.741 7.594 2.334 -5.741 7.594 2.334 5.741 -7.594" Properties=species:S:1:pos:R:3 pbc="T T T"
Cs 0.000 0.000 0.000
K 2.334 0.000 5.169
K 0.000 5.741 2.425
Bi 2.334 2.654 -2.784
Bi 2.334 4.171 0.000
Bi 2.334 2.654 2.784
Bi 0.000 3.087 4.809
Bi 0.000 1.570 7.594
Bi 0.000 3.087 10.378
```

Peak list (10 most intense, 2θ from 10° to 90°, most intense first)
2theta, I_rel
40.99, 100
25.28, 84
15.44, 84
19.38, 81
23.68, 78
19.90, 75
38.69, 74
30.34, 73
29.25, 65
35.25, 54

(2)
This entry pairs a crystal structure of Cs4Pr3ErS8 with its calculated PXRD pattern. Radiation: Cu Kα, 1.54184 Å. Structure: a PBE-relaxed structure.
Lines closer than 0.1° are merged.

Atomic structure:
```
16
Lattice="4.232 2.443 8.099 -4.232 2.443 8.099 0.000 -4.887 8.099" Properties=species:S:1:pos:R:3 pbc="T T T"
Cs 0.000 0.000 0.000
Cs -2.116 -1.222 8.099
Cs -2.116 1.222 16.199
Cs 0.000 2.443 8.099
Pr -4.232 0.000 12.149
Pr -2.116 1.222 4.050
Pr 2.116 1.222 4.050
Er 0.000 0.000 12.149
S 0.000 0.000 5.581
S -2.046 -1.181 13.644
S 0.000 -2.363 10.655
S -2.046 1.181 10.655
S 2.046 -1.181 13.644
S 0.000 2.363 13.644
S 2.046 1.181 10.655
S 0.000 0.000 18.717
```

Peak list (10 most intense, 2θ from 10° to 90°, most intense first)
2theta, I_rel
28.44, 100
25.38, 52
38.49, 37
42.73, 34
21.95, 29
44.75, 24
48.54, 22
58.86, 21
63.60, 20
52.13, 18

(3)
This entry pairs a crystal structure of Be3Tc with its calculated PXRD pattern. Radiation: Cu Kα, 1.54184 Å. Structure: a PBE-relaxed structure.
Lines closer than 0.1° are merged.

Atomic structure:
```
8
Lattice="3.488 0.000 0.000 0.000 4.678 0.000 0.000 0.000 4.601" Properties=species:S:1:pos:R:3 pbc="T T T"
Be 0.872 0.059 0.616
Be 0.872 2.280 0.616
Be 0.872 3.508 3.392
Be 2.616 1.169 1.209
Be 2.616 2.398 3.985
Be 2.616 4.619 3.985
Tc 0.872 1.169 2.829
Tc 2.616 3.508 1.772
```

Peak list (10 most intense, 2θ from 10° to 90°, most intense first)
2theta, I_rel
32.01, 100
19.29, 87
37.64, 78
27.18, 59
47.33, 45
43.85, 45
32.21, 43
51.03, 37
43.40, 33
38.49, 30

(4)
This entry pairs a crystal structure of Pr2Zn4NiPt3 with its calculated PXRD pattern. Radiation: Cu Kα, 1.54184 Å. Structure: a PBE-relaxed structure.
Lines closer than 0.1° are merged.

Atomic structure:
```
10
Lattice="4.183 0.000 0.000 0.000 4.183 0.000 0.000 0.000 10.854" Properties=species:S:1:pos:R:3 pbc="T T T"
Pr 0.000 2.091 2.619
Pr 2.091 0.000 8.235
Zn 0.000 0.000 5.427
Zn 0.000 2.091 9.498
Zn 2.091 0.000 1.356
Zn 2.091 2.091 5.427
Ni 2.091 2.091 0.000
Pt 0.000 0.000 0.000
Pt 0.000 2.091 6.971
Pt 2.091 0.000 3.883
```

Peak list (10 most intense, 2θ from 10° to 90°, most intense first)
2theta, I_rel
34.54, 100
43.26, 67
32.73, 63
47.17, 41
45.36, 30
65.92, 30
55.29, 29
26.91, 27
62.84, 22
73.73, 22

(5)
This entry pairs a crystal structure of Sm2Er2Tm2Mg with its calculated PXRD pattern. Radiation: Cu Kα, 1.54184 Å. Structure: a PBE-relaxed structure.
Lines closer than 0.1° are merged.

Atomic structure:
```
7
Lattice="6.016 -1.810 0.000 6.016 1.810 0.000 -5.552 0.000 10.040" Properties=species:S:1:pos:R:3 pbc="T T T"
Sm -1.030 0.000 2.449
Sm 7.510 0.000 7.591
Er -1.083 0.000 5.892
Er 7.564 0.000 4.148
Tm 2.251 0.000 1.282
Tm 4.230 0.000 8.758
Mg 6.016 0.000 0.000
```

Peak list (10 most intense, 2θ from 10° to 90°, most intense first)
2theta, I_rel
33.94, 100
33.81, 95
31.18, 76
26.03, 46
30.66, 37
29.95, 33
60.47, 31
29.73, 29
54.89, 26
59.59, 26

(6)
This entry pairs a crystal structure of Tb5Nd3S8 with its calculated PXRD pattern. Radiation: Cu Kα, 1.54184 Å. Structure: a PBE-relaxed structure.
Lines closer than 0.1° are merged.

Atomic structure:
```
16
Lattice="3.973 2.294 6.534 -3.973 2.294 6.534 0.000 -4.588 6.534" Properties=species:S:1:pos:R:3 pbc="T T T"
Tb 0.000 0.000 0.000
Tb -1.987 -1.147 6.534
Tb -1.987 1.147 13.067
Tb 0.000 2.294 6.533
Tb 0.000 0.000 9.800
Nd -3.973 0.000 9.800
Nd -1.987 1.147 3.267
Nd 1.987 1.147 3.267
S 0.000 -2.252 8.106
S -1.950 1.126 8.106
S 0.000 0.000 4.992
S -1.950 -1.126 11.495
S 1.950 1.126 8.106
S 0.000 0.000 14.608
S 1.950 -1.126 11.495
S 0.000 2.252 11.495
```

Peak list (10 most intense, 2θ from 10° to 90°, most intense first)
2theta, I_rel
31.78, 100
27.47, 59
45.44, 36
45.67, 36
54.05, 29
27.30, 20
56.70, 19
75.33, 16
75.65, 16
84.30, 12

(7)
This entry pairs a crystal structure of HfAl2BMo with its calculated PXRD pattern. Radiation: Cu Kα, 1.54184 Å. Structure: a PBE-relaxed structure.
Lines closer than 0.1° are merged.

Atomic structure:
```
5
Lattice="4.132 0.000 0.000 0.000 4.132 0.000 0.000 0.000 4.564" Properties=species:S:1:pos:R:3 pbc="T T T"
Hf 0.000 0.000 0.000
Al 0.000 2.066 2.282
Al 2.066 0.000 2.282
B 0.000 0.000 2.282
Mo 2.066 2.066 0.000
```

Peak list (10 most intense, 2θ from 10° to 90°, most intense first)
2theta, I_rel
36.52, 100
19.45, 51
30.60, 41
43.82, 33
60.45, 25
75.72, 24
39.49, 22
48.36, 20
50.76, 20
69.68, 15

(8)
This entry pairs a crystal structure of K11TlO2 with its calculated PXRD pattern. Radiation: Cu Kα, 1.54184 Å. Structure: a PBE-relaxed structure.
Lines closer than 0.1° are merged.

Atomic structure:
```
28
Lattice="-6.927 6.949 7.373 6.927 -6.949 7.373 6.927 6.949 -7.373" Properties=species:S:1:pos:R:3 pbc="T T T"
K 0.000 0.000 0.000
K 10.335 -0.826 1.874
K 7.851 3.448 -1.899
K 7.851 -3.448 5.474
K 3.520 0.826 1.874
K 3.999 -3.891 7.373
K 3.999 3.891 0.000
K 3.520 -0.826 5.499
K 7.851 3.448 1.899
K 0.924 3.501 1.899
K 3.408 7.776 -1.874
K 0.000 0.000 7.373
K 3.520 -0.826 9.247
K 6.004 3.448 5.474
K -0.924 3.501 5.474
K 3.408 7.776 1.874
K 2.929 3.058 7.373
K 2.929 10.840 0.000
K 3.408 6.123 5.499
K -0.924 10.397 1.899
K -0.924 3.501 9.272
K -3.408 7.776 5.499
Tl 6.927 0.000 3.686
Tl 0.000 6.949 3.686
O 2.161 2.117 0.000
O 2.161 -2.117 7.373
O 4.767 9.066 0.000
O 4.767 4.832 7.373
```

Peak list (10 most intense, 2θ from 10° to 90°, most intense first)
2theta, I_rel
15.03, 100
30.33, 84
17.55, 64
23.59, 47
25.68, 41
28.78, 33
29.89, 27
35.15, 25
20.24, 24
31.27, 21